Entry 1:
Starting from a structure optimized by DFT (GGA-PBE), the PXRD pattern of SrTmCd6 was computed for copper Kα.
No peak broadening, texture or thermal motion is included.

Most intense lines, 2θ from 5° to 70°, in order of falling intensity:
34.65 deg, d = 2.589 Å, intensity 100; 34.80 deg, d = 2.578 Å, intensity 50; 62.29 deg, d = 1.490 Å, intensity 35; 50.04 deg, d = 1.823 Å, intensity 17; 61.99 deg, d = 1.497 Å, intensity 17; 49.58 deg, d = 1.839 Å, intensity 8

Cell and atoms:
abc: 5.1566 7.3549 5.1548
angles: 90.00 90.00 90.00
Space group Pmm2 (No. 25)
Unique sites:
Sr 0.0000 0.0000 0.0000 x1
Tm 0.5000 0.5000 0.4968 x1
Cd 0.0000 0.2644 0.5004 x2
Cd 0.0000 0.5000 0.0003 x1
Cd 0.5000 0.0000 0.4979 x1
Cd 0.5000 0.2641 0.9967 x2

---

Entry 2:
Starting from a structure optimized by DFT (GGA-PBE), the PXRD pattern of SrY2Cd9 was computed for copper Kα.
No peak broadening, texture or thermal motion is included.

Most intense lines, 2θ from 5° to 70°, in order of falling intensity:
35.18 deg, d = 2.551 Å, intensity 100; 37.83 deg, d = 2.378 Å, intensity 67; 34.40 deg, d = 2.607 Å, intensity 27; 61.33 deg, d = 1.512 Å, intensity 26; 56.14 deg, d = 1.638 Å, intensity 25; 17.22 deg, d = 5.150 Å, intensity 22

Cell and atoms:
abc: 6.0462 6.0462 28.5193
angles: 90.00 90.00 120.00
Space group R-3m (No. 166, hexagonal axes)
Unique sites:
Sr 0.0000 0.0000 0.0000 x3
Y 0.0000 0.0000 0.1450 x6
Cd 0.0000 0.0000 0.3358 x6
Cd 0.0000 0.0000 0.5000 x3
Cd 0.0097 0.5048 0.9136 x18